Starting from the PBE+U geometry in Alexandria, the X-ray powder pattern of La2MnVO6 was computed for a wavelength of 1.5418 Å.
Lines closer than 0.1° are merged.

Main lines, in order of rising 2θ (2θ from 10° to 80°):
(hkl)	2theta	d_spacing	I (rel.)
0 2 0	31.12	2.874	43.5
1 1 2	31.59	2.832	52.7
-1 1 2	31.81	2.813	100.0
1 -1 2	31.93	2.802	46.5
2 0 0	32.06	2.791	49.3
2 0 -2	39.50	2.281	24.9
2 2 0	44.97	2.016	24.8
2 -2 0	45.60	1.989	22.7
0 0 4	45.86	1.979	29.6
-3 1 2	57.16	1.612	32.3

Cell and atoms:
```
data_La2MnVO6
_chemical_formula_sum 'La4 Mn2 V2 O12'
_cell_length_a 5.5835
_cell_length_b 5.7493
_cell_length_c 7.9158
_cell_angle_alpha 89.66
_cell_angle_beta 89.87
_cell_angle_gamma 89.24
_symmetry_space_group_name_H-M 'P -1'
_symmetry_Int_Tables_number 2
loop_
_symmetry_equiv_pos_as_xyz
'x,y,z'
'-x,-y,-z'
loop_
_atom_site_label
_atom_site_type_symbol
_atom_site_fract_x
_atom_site_fract_y
_atom_site_fract_z
La1 La 0.0088 0.0538 0.2446
La2 La 0.4856 0.5478 0.2447
Mn1 Mn 0.0000 0.5000 0.0000
Mn2 Mn 0.5000 0.0000 0.5000
V1 V 0.0000 0.5000 0.5000
V2 V 0.5000 0.0000 0.0000
O1 O 0.0932 0.5285 0.7432
O2 O 0.1954 0.7852 0.4477
O3 O 0.2114 0.8036 0.0429
O4 O 0.2766 0.3088 0.4557
O5 O 0.3044 0.2893 0.0459
O6 O 0.4176 0.0245 0.7662
```